(1)
For CaGa4CoNi2, DFT lattice parameters and positions (GGA-PBE) gives the theoretical powder diffractogram in this record (copper Kα).
Kinematic intensities with the Lorentz-polarization factor, no thermal factor.

Structure:
Cell lengths 9.325, 9.325, 9.325 Å; angles 25.12, 25.12, 25.12 degrees
Sites, in units of the cell vectors:
Ca  0.000  0.000  0.000
Ga  0.134  0.134  0.134
Ga  0.407  0.407  0.407
Ga  0.593  0.593  0.593
Ga  0.866  0.866  0.866
Co  0.500  0.500  0.500
Ni  0.227  0.227  0.227
Ni  0.773  0.773  0.773

Principal peaks in the range 5° ≤ 2θ ≤ 70°, most intense first:
2θ/deg  d_spacing  I (rel.)
9.80  9.027  100
44.69  2.028  75
44.97  2.016  51
36.88  2.437  39
65.26  1.430  16
30.33  2.947  15
45.87  1.978  14
59.28  1.559  9
42.14  2.145  7
54.13  1.694  7


(2)
For CsHf2AlO, DFT lattice parameters and positions (GGA-PBE) gives the theoretical powder diffractogram in this record (copper Kα).
Kinematic intensities with the Lorentz-polarization factor, no thermal factor.

Structure:
Cell lengths 4.459, 4.459, 5.772 Å; angles 90.00, 90.00, 90.00 degrees
Sites, in units of the cell vectors:
Cs  0.000  0.000  0.000
Hf  0.000  0.500  0.500
Hf  0.500  0.000  0.500
Al  0.500  0.500  0.000
O  0.500  0.500  0.500

Principal peaks in the range 5° ≤ 2θ ≤ 70°, most intense first:
2θ/deg  d_spacing  I (rel.)
32.35  2.767  100
30.99  2.886  32
51.81  1.765  32
40.46  2.230  31
15.35  5.772  27
68.50  1.370  24
55.99  1.642  23
67.72  1.384  15
25.24  3.529  11
58.55  1.577  10


(3)
For ZnCo3Ag, DFT lattice parameters and positions (GGA-PBE) gives the theoretical powder diffractogram in this record (copper Kα).
Kinematic intensities with the Lorentz-polarization factor, no thermal factor.

Structure:
Cell lengths 4.362, 4.362, 4.362 Å; angles 90.00, 90.00, 90.00 degrees
Sites, in units of the cell vectors:
Zn  0.000  0.000  0.000
Co  0.000  0.000  0.500
Co  0.000  0.500  0.000
Co  0.500  0.000  0.000
Ag  0.500  0.500  0.500

Principal peaks in the range 5° ≤ 2θ ≤ 70°, most intense first:
2θ/deg  d_spacing  I (rel.)
41.40  2.181  100
35.65  2.518  77
59.99  1.542  62
28.95  3.084  58
51.31  1.781  23
67.96  1.379  9
20.36  4.362  2
46.56  1.951  1


(4)
For CeCdAu, DFT lattice parameters and positions (GGA-PBE) gives the theoretical powder diffractogram in this record (copper Kα).
Kinematic intensities with the Lorentz-polarization factor, no thermal factor.

Structure:
Cell lengths 4.933, 4.933, 3.347 Å; angles 90.00, 90.00, 120.00 degrees
Sites, in units of the cell vectors:
Ce  0.000  0.000  0.000
Cd  0.333  0.667  0.500
Au  0.667  0.333  0.500

Principal peaks in the range 5° ≤ 2θ ≤ 70°, most intense first:
2θ/deg  d_spacing  I (rel.)
34.03  2.635  100
36.43  2.467  92
50.70  1.801  32
64.02  1.454  32
67.65  1.385  30
65.55  1.424  16
45.69  1.986  14
26.63  3.347  10
54.86  1.674  9
20.79  4.272  9


(5)
For Tb4NdTm8, DFT lattice parameters and positions (GGA-PBE) gives the theoretical powder diffractogram in this record (copper Kα).
Kinematic intensities with the Lorentz-polarization factor, no thermal factor.

Structure:
Cell lengths 9.852, 9.852, 9.852 Å; angles 43.21, 43.21, 43.21 degrees
Sites, in units of the cell vectors:
Tb  0.000  0.000  0.000
Tb  0.000  0.500  0.500
Tb  0.500  0.000  0.500
Tb  0.500  0.500  0.000
Nd  0.500  0.500  0.500
Tm  0.191  0.750  0.750
Tm  0.218  0.218  0.218
Tm  0.250  0.250  0.809
Tm  0.250  0.809  0.250
Tm  0.750  0.191  0.750
Tm  0.750  0.750  0.191
Tm  0.782  0.782  0.782
Tm  0.809  0.250  0.250

Principal peaks in the range 5° ≤ 2θ ≤ 70°, most intense first:
2θ/deg  d_spacing  I (rel.)
31.47  2.843  100
33.07  2.709  44
30.07  2.972  32
50.31  1.814  30
39.36  2.289  28
59.73  1.548  23
53.21  1.721  18
28.61  3.120  17
60.56  1.529  13
44.46  2.038  9


(6)
For Y2Mg2Cu, DFT lattice parameters and positions (GGA-PBE) gives the theoretical powder diffractogram in this record (copper Kα).
Kinematic intensities with the Lorentz-polarization factor, no thermal factor.

Structure:
Cell lengths 8.040, 8.040, 8.040 Å; angles 132.95, 63.56, 139.81 degrees
Sites, in units of the cell vectors:
Y  0.175  0.172  0.346
Y  0.325  0.672  0.997
Y  0.675  0.328  0.003
Y  0.825  0.828  0.654
Mg  0.078  0.663  0.741
Mg  0.422  0.163  0.584
Mg  0.578  0.837  0.416
Mg  0.922  0.337  0.259
Cu  0.250  0.250  0.000
Cu  0.750  0.750  0.000

Principal peaks in the range 5° ≤ 2θ ≤ 70°, most intense first:
2θ/deg  d_spacing  I (rel.)
33.86  2.648  100
32.93  2.720  71
15.25  5.810  67
24.94  3.571  52
40.70  2.217  39
46.91  1.937  34
35.03  2.561  27
35.70  2.515  26
43.21  2.094  25
30.78  2.905  23


(7)
For CaZnNi2Se, DFT lattice parameters and positions (GGA-PBE) gives the theoretical powder diffractogram in this record (copper Kα).
Kinematic intensities with the Lorentz-polarization factor, no thermal factor.

Structure:
Cell lengths 4.437, 4.437, 5.052 Å; angles 90.00, 90.00, 90.00 degrees
Sites, in units of the cell vectors:
Ca  0.000  0.000  0.000
Zn  0.500  0.500  0.000
Ni  0.000  0.500  0.500
Ni  0.500  0.000  0.500
Se  0.500  0.500  0.500

Principal peaks in the range 5° ≤ 2θ ≤ 70°, most intense first:
2θ/deg  d_spacing  I (rel.)
40.66  2.219  100
33.62  2.665  89
55.09  1.667  78
35.54  2.526  74
20.01  4.437  70
17.55  5.052  38
58.86  1.569  32
41.12  2.195  22
69.53  1.352  18
45.72  1.984  16


(8)
For LaTeIrS2, DFT lattice parameters and positions (GGA-PBE) gives the theoretical powder diffractogram in this record (copper Kα).
Kinematic intensities with the Lorentz-polarization factor, no thermal factor.

Structure:
Cell lengths 5.422, 5.422, 5.175 Å; angles 90.00, 90.00, 90.00 degrees
Sites, in units of the cell vectors:
La  0.000  0.000  0.000
Te  0.500  0.500  0.500
Ir  0.000  0.000  0.500
S  0.000  0.500  0.000
S  0.500  0.000  0.000

Principal peaks in the range 5° ≤ 2θ ≤ 70°, most intense first:
2θ/deg  d_spacing  I (rel.)
23.20  3.834  100
33.04  2.711  76
16.35  5.422  63
48.64  1.872  50
28.98  3.081  48
42.13  2.145  43
34.67  2.587  33
47.42  1.917  27
60.06  1.540  27
65.28  1.429  24


(9)
For Pr3Te2Pb, DFT lattice parameters and positions (GGA-PBE) gives the theoretical powder diffractogram in this record (copper Kα).
Kinematic intensities with the Lorentz-polarization factor, no thermal factor.

Structure:
Cell lengths 4.592, 6.450, 13.655 Å; angles 90.00, 90.00, 90.00 degrees
Sites, in units of the cell vectors:
Pr  0.000  0.000  0.000
Pr  0.000  0.000  0.336
Pr  0.000  0.000  0.664
Pr  0.500  0.500  0.164
Pr  0.500  0.500  0.500
Pr  0.500  0.500  0.836
Te  0.000  0.500  0.333
Te  0.000  0.500  0.667
Te  0.500  0.000  0.167
Te  0.500  0.000  0.833
Pb  0.000  0.500  0.000
Pb  0.500  0.000  0.500

Principal peaks in the range 5° ≤ 2θ ≤ 70°, most intense first:
2θ/deg  d_spacing  I (rel.)
27.62  3.230  100
39.47  2.283  52
48.68  1.870  14
48.99  1.859  14
39.24  2.296  13
39.60  2.276  13
64.49  1.445  12
64.59  1.443  12
56.98  1.616  9
64.20  1.451  6


(10)
For Cs4TlSbCl12, DFT lattice parameters and positions (GGA-PBE) gives the theoretical powder diffractogram in this record (copper Kα).
Kinematic intensities with the Lorentz-polarization factor, no thermal factor.

Structure:
Cell lengths 7.591, 7.591, 11.018 Å; angles 90.00, 90.00, 90.00 degrees
Sites, in units of the cell vectors:
Cs  0.000  0.500  0.218
Cs  0.000  0.500  0.782
Cs  0.500  0.000  0.218
Cs  0.500  0.000  0.782
Tl  0.000  0.000  0.000
Sb  0.500  0.500  0.500
Cl  0.000  0.000  0.238
Cl  0.000  0.000  0.762
Cl  0.246  0.246  0.000
Cl  0.246  0.754  0.000
Cl  0.275  0.275  0.500
Cl  0.275  0.725  0.500
Cl  0.500  0.500  0.280
Cl  0.500  0.500  0.720
Cl  0.725  0.275  0.500
Cl  0.725  0.725  0.500
Cl  0.754  0.246  0.000
Cl  0.754  0.754  0.000

Principal peaks in the range 5° ≤ 2θ ≤ 70°, most intense first:
2θ/deg  d_spacing  I (rel.)
23.14  3.844  100
14.17  6.251  97
33.39  2.684  72
23.44  3.796  55
28.56  3.126  48
41.01  2.201  47
47.29  1.922  37
27.49  3.244  30
32.51  2.754  29
47.94  1.898  24


(11)
For Cs3PrTl2O6, DFT lattice parameters and positions (GGA-PBE) gives the theoretical powder diffractogram in this record (copper Kα).
Kinematic intensities with the Lorentz-polarization factor, no thermal factor.

Structure:
Cell lengths 6.790, 6.790, 8.021 Å; angles 90.00, 90.00, 120.00 degrees
Sites, in units of the cell vectors:
Cs  0.000  0.000  0.000
Cs  0.333  0.667  0.755
Cs  0.667  0.333  0.245
Pr  0.000  0.000  0.500
Tl  0.333  0.667  0.306
Tl  0.667  0.333  0.694
O  0.156  0.312  0.304
O  0.156  0.844  0.304
O  0.312  0.156  0.696
O  0.688  0.844  0.304
O  0.844  0.156  0.696
O  0.844  0.688  0.696

Principal peaks in the range 5° ≤ 2θ ≤ 70°, most intense first:
2θ/deg  d_spacing  I (rel.)
26.25  3.395  100
26.91  3.313  82
46.73  1.944  39
37.95  2.371  36
46.32  1.960  22
54.02  1.697  17
61.37  1.511  16
53.04  1.727  12
11.03  8.021  9
18.71  4.742  9


(12)
For Ce3CdGa, DFT lattice parameters and positions (GGA-PBE) gives the theoretical powder diffractogram in this record (copper Kα).
Kinematic intensities with the Lorentz-polarization factor, no thermal factor.

Structure:
Cell lengths 8.196, 3.381, 9.340 Å; angles 90.00, 104.52, 90.00 degrees
Sites, in units of the cell vectors:
Ce  0.008  0.250  0.177
Ce  0.311  0.250  0.828
Ce  0.427  0.250  0.375
Ce  0.573  0.750  0.625
Ce  0.689  0.750  0.172
Ce  0.992  0.750  0.823
Cd  0.150  0.750  0.508
Cd  0.850  0.250  0.492
Ga  0.293  0.750  0.100
Ga  0.707  0.250  0.900

Principal peaks in the range 5° ≤ 2θ ≤ 70°, most intense first:
2θ/deg  d_spacing  I (rel.)
33.32  2.689  100
37.87  2.375  72
32.81  2.730  41
34.72  2.584  32
29.64  3.014  29
34.86  2.573  27
34.38  2.609  23
33.08  2.708  22
63.19  1.471  20
54.26  1.691  19


(13)
For La2CdGa3Ir4, DFT lattice parameters and positions (GGA-PBE) gives the theoretical powder diffractogram in this record (copper Kα).
Kinematic intensities with the Lorentz-polarization factor, no thermal factor.

Structure:
Cell lengths 4.290, 4.290, 10.815 Å; angles 90.00, 90.00, 90.00 degrees
Sites, in units of the cell vectors:
La  0.000  0.500  0.237
La  0.500  0.000  0.763
Cd  0.000  0.000  0.500
Ga  0.000  0.500  0.880
Ga  0.500  0.000  0.120
Ga  0.500  0.500  0.500
Ir  0.000  0.000  0.000
Ir  0.000  0.500  0.650
Ir  0.500  0.000  0.350
Ir  0.500  0.500  0.000

Principal peaks in the range 5° ≤ 2θ ≤ 70°, most intense first:
2θ/deg  d_spacing  I (rel.)
33.88  2.646  100
42.13  2.145  57
32.44  2.760  31
44.91  2.018  29
47.05  1.931  23
61.10  1.517  19
64.97  1.435  18
54.15  1.694  14
26.52  3.361  14
30.61  2.921  11


(14)
For La2PdN, DFT lattice parameters and positions (GGA-PBE) gives the theoretical powder diffractogram in this record (copper Kα).
Kinematic intensities with the Lorentz-polarization factor, no thermal factor.

Structure:
Cell lengths 3.925, 22.717, 3.961 Å; angles 90.00, 90.00, 90.00 degrees
Sites, in units of the cell vectors:
La  0.000  0.086  0.250
La  0.000  0.302  0.250
La  0.000  0.698  0.750
La  0.000  0.914  0.750
La  0.500  0.198  0.750
La  0.500  0.414  0.750
La  0.500  0.586  0.250
La  0.500  0.802  0.250
Pd  0.000  0.457  0.250
Pd  0.000  0.543  0.750
Pd  0.500  0.043  0.750
Pd  0.500  0.957  0.250
N  0.000  0.195  0.250
N  0.000  0.805  0.750
N  0.500  0.305  0.750
N  0.500  0.695  0.250

Principal peaks in the range 5° ≤ 2θ ≤ 70°, most intense first:
2θ/deg  d_spacing  I (rel.)
32.35  2.767  100
30.09  2.970  75
32.72  2.737  46
57.79  1.596  34
31.51  2.840  28
37.86  2.376  27
55.79  1.648  27
34.28  2.616  25
45.82  1.980  25
46.26  1.962  24